Record 1
Diffraction record for Tb2PmPrP4. The powder diffractogram is calculated, not measured: it uses a structure optimized by DFT (GGA-PBE) and Cu Kα (λ = 1.5418 Å).

Largest 6 diffraction maxima, low angle first, 2θ = 15–90°:
2θ = 26.63°, d = 3.348 Å, I 827; 2θ = 30.84°, d = 2.899 Å, I 1000; 2θ = 44.18°, d = 2.050 Å, I 733; 2θ = 52.33°, d = 1.748 Å, I 408; 2θ = 54.85°, d = 1.674 Å, I 257; 2θ = 72.97°, d = 1.296 Å, I 329

Cell and atoms:
a b c (Å): 7.104 7.104 7.104
angles (deg): 131.85 131.85 70.47
Sites, in units of the cell vectors:
1 Tb 0.250 0.750 0.500
2 Tb 0.750 0.250 0.500
3 Pm 0.000 0.000 0.000
4 Pr 0.500 0.500 0.000
5 P 0.000 0.500 0.500
6 P 0.248 0.248 0.000
7 P 0.500 0.000 0.500
8 P 0.752 0.752 0.000

=====

Record 2
Diffraction record for TbSm5Y12. The powder diffractogram is calculated, not measured: it uses a structure optimized by DFT (GGA-PBE) and Cu Kα (λ = 1.5418 Å).

Largest 6 diffraction maxima, low angle first, 2θ = 15–90°:
2θ = 30.53°, d = 2.928 Å, I 1000; 2θ = 35.40°, d = 2.536 Å, I 502; 2θ = 50.93°, d = 1.793 Å, I 352; 2θ = 60.54°, d = 1.529 Å, I 345; 2θ = 63.55°, d = 1.464 Å, I 119; 2θ = 82.97°, d = 1.164 Å, I 112

Cell and atoms:
a b c (Å): 10.748 5.073 10.764
angles (deg): 90.00 90.11 90.00
Sites, in units of the cell vectors:
1 Tb 0.000 0.000 0.000
2 Sm 0.166 0.500 0.834
3 Sm 0.333 0.000 0.667
4 Sm 0.500 0.500 0.500
5 Sm 0.667 0.000 0.333
6 Sm 0.834 0.500 0.166
7 Y 0.000 0.000 0.333
8 Y 0.000 0.000 0.667
9 Y 0.166 0.500 0.166
10 Y 0.166 0.500 0.500
11 Y 0.333 0.000 0.000
12 Y 0.333 0.000 0.333
13 Y 0.500 0.500 0.166
14 Y 0.500 0.500 0.834
15 Y 0.667 0.000 0.000
16 Y 0.667 0.000 0.667
17 Y 0.834 0.500 0.500
18 Y 0.834 0.500 0.834

=====

Record 3
Diffraction record for KErTl2. The powder diffractogram is calculated, not measured: it uses a structure optimized by DFT (GGA-PBE) and Cu Kα (λ = 1.5418 Å).

Largest 6 diffraction maxima, low angle first, 2θ = 15–90°:
2θ = 21.56°, d = 4.122 Å, I 145; 2θ = 30.67°, d = 2.915 Å, I 622; 2θ = 33.34°, d = 2.687 Å, I 1000; 2θ = 43.93°, d = 2.061 Å, I 234; 2θ = 56.25°, d = 1.636 Å, I 453; 2θ = 61.21°, d = 1.514 Å, I 176

Cell and atoms:
a b c (Å): 5.830 5.830 3.544
angles (deg): 90.00 90.00 90.00
Sites, in units of the cell vectors:
1 K 0.000 0.000 0.000
2 Er 0.500 0.500 0.000
3 Tl 0.000 0.500 0.500
4 Tl 0.500 0.000 0.500